Theoretical X-ray diffraction stick pattern of Nb6Ru12Pt for CuKα, from DFT lattice parameters and positions (GGA-PBE).
Lines closer than 0.1° are merged.

Main lines, in order of rising 2θ (10 to 80 degrees two-theta):
Position (°2θ)  Rel. int.
37.29  55.0
37.72  33.5
39.61  38.0
41.38  100.0
43.60  52.3
46.49  39.3

Structural model:
Unit cell a=7.175 b=7.175 c=7.175 alpha=107.14 beta=107.14 gamma=107.14
Element x y z (fractional)
Nb: 0.064 0.399 0.295
Nb: 0.295 0.064 0.399
Nb: 0.399 0.295 0.064
Nb: 0.601 0.705 0.936
Nb: 0.705 0.936 0.601
Nb: 0.936 0.601 0.705
Ru: 0.008 0.684 0.108
Ru: 0.108 0.008 0.684
Ru: 0.213 0.391 0.684
Ru: 0.316 0.787 0.609
Ru: 0.316 0.892 0.992
Ru: 0.391 0.684 0.213
Ru: 0.609 0.316 0.787
Ru: 0.684 0.108 0.008
Ru: 0.684 0.213 0.391
Ru: 0.787 0.609 0.316
Ru: 0.892 0.992 0.316
Ru: 0.992 0.316 0.892
Pt: 0.500 0.500 0.500